Record 1
Simulated powder XRD pattern of Na3YSc for Cu Kα X-rays, from a crystal structure in Alexandria, relaxed with GGA-PBE.

Structure:
```
Na3YSc
1.0
5.642 0.000 0.000
0.000 5.642 0.000
0.000 0.000 5.642
Na Y Sc
3 1 1
Direct
0.000 0.000 0.500
0.000 0.500 0.000
0.500 0.000 0.000
0.500 0.500 0.500
0.000 0.000 0.000
```

Top 10 peaks for 2θ from 10° to 80°, most intense first:
- 3.989 Å, 22.28°, I 100.0
- 2.821 Å, 31.72°, I 70.2
- 1.995 Å, 45.47°, I 49.1
- 3.257 Å, 27.38°, I 44.8
- 2.303 Å, 39.11°, I 43.5
- 1.508 Å, 61.50°, I 21.8
- 1.701 Å, 53.90°, I 19.4
- 1.262 Å, 75.33°, I 19.3
- 1.784 Å, 51.20°, I 19.3
- 1.629 Å, 56.50°, I 16.4

Record 2
Simulated powder XRD pattern of Na2Si2Se5 for Cu Kα X-rays, from a crystal structure in Alexandria, relaxed with GGA-PBE.

Structure:
```
Na2Si2Se5
1.0
6.717 -6.779 0.000
6.717 6.779 0.000
0.000 0.000 11.090
Na Si Se
8 8 20
Direct
0.082 0.576 0.750
0.149 0.149 0.000
0.149 0.149 0.500
0.424 0.918 0.750
0.576 0.082 0.250
0.851 0.851 0.000
0.851 0.851 0.500
0.918 0.424 0.250
0.254 0.746 0.084
0.254 0.746 0.416
0.312 0.416 0.250
0.416 0.312 0.750
0.584 0.688 0.250
0.688 0.584 0.750
0.746 0.254 0.584
0.746 0.254 0.916
0.151 0.849 0.250
0.159 0.841 0.581
0.159 0.841 0.919
0.186 0.270 0.750
0.205 0.508 0.079
0.205 0.508 0.421
0.270 0.186 0.250
0.450 0.550 0.750
0.492 0.795 0.079
0.492 0.795 0.421
0.508 0.205 0.579
0.508 0.205 0.921
0.550 0.450 0.250
0.730 0.814 0.750
0.795 0.492 0.579
0.795 0.492 0.921
0.814 0.730 0.250
0.841 0.159 0.081
0.841 0.159 0.419
0.849 0.151 0.750
```

Top 10 peaks for 2θ from 10° to 80°, most intense first:
- 3.245 Å, 27.49°, I 100.0
- 3.181 Å, 28.05°, I 81.6
- 1.965 Å, 46.20°, I 54.1
- 2.790 Å, 32.08°, I 40.0
- 4.290 Å, 20.71°, I 33.0
- 2.904 Å, 30.79°, I 26.1
- 4.775 Å, 18.58°, I 25.4
- 3.058 Å, 29.21°, I 25.1
- 1.848 Å, 49.30°, I 19.9
- 3.390 Å, 26.29°, I 18.9